Diffraction record for Sr2LaZn. The X-ray diffraction stick pattern is computed, not measured: it uses a structure optimized by DFT (GGA-PBE) and Cu Kα X-rays.

Atomic structure:
Lattice parameters (Å, degrees): 3.892 3.905 10.174 90.00 90.00 90.00
Element x y z (fractional)
1 Sr 0.000 0.000 0.000
2 Sr 0.499 0.500 0.663
3 La 0.498 0.500 0.303
4 Zn 0.998 0.000 0.465

Peak list (6 most intense, 2θ = 10–90°, most intense first)
| 2theta | I (rel.) | h k l |
| --- | --- | --- |
| 28.85 | 100 | 1 0 2 |
| 32.48 | 59 | 1 1 0 |
| 35.07 | 29 | 1 0 3 |
| 24.45 | 22 | 1 0 -1 |
| 42.25 | 22 | 1 1 3 |
| 26.28 | 20 | 0 0 3 |